Entry 1:
YLuNi2: computed powder diffractogram (Cu Kα X-rays), based on the GGA-PBE geometry in OQMD.

The 12 most intense peaks (2θ = 5–70°), in order of rising 2θ:
2θ = 12.7°, d = 6.985 Å, rel. 50.1, (0 1 0)
2θ = 27.3°, d = 3.271 Å, rel. 33.3, (1 0 1)
2θ = 30.2°, d = 2.962 Å, rel. 88.3, (1 1 1)
2θ = 33.7°, d = 2.663 Å, rel. 100.0, (1 2 0)
2θ = 35.7°, d = 2.514 Å, rel. 91.0, (0 1 2)
2θ = 37.7°, d = 2.388 Å, rel. 97.5, (1 2 1)
2θ = 42.1°, d = 2.146 Å, rel. 89.3, (1 1 2)
2θ = 42.3°, d = 2.137 Å, rel. 50.9, (0 3 1)
2θ = 44.0°, d = 2.058 Å, rel. 54.4, (2 0 0)
2θ = 55.3°, d = 1.661 Å, rel. 26.3, (0 4 1)
2θ = 57.9°, d = 1.592 Å, rel. 44.4, (2 1 2)
2θ = 62.7°, d = 1.482 Å, rel. 31.1, (2 3 1)

Lattice parameters (Å, degrees): 4.1155 6.9854 5.3903 90.00 90.00 90.00
Space group Pmn2_1 (No. 31)
One atom of each set of equivalent atoms:
1 Y 0.0000 0.0737 0.0000
2 Lu 0.0000 0.5669 0.2360
3 Ni 0.0000 0.2228 0.4969
4 Ni 0.0000 0.7035 0.7448

Entry 2:
LuNpSe3: computed powder diffractogram (Cu Kα X-rays), based on the GGA-PBE geometry in OQMD.

The 12 most intense peaks (2θ = 5–70°), in order of rising 2θ:
2θ = 22.6°, d = 3.938 Å, rel. 100.0, (0 2 2)
2θ = 25.2°, d = 3.532 Å, rel. 25.3, (1 1 1)
2θ = 30.6°, d = 2.925 Å, rel. 43.9, (1 3 0)
2θ = 31.9°, d = 2.804 Å, rel. 83.1, (1 3 1)
2θ = 35.7°, d = 2.517 Å, rel. 40.8, (1 3 2)
2θ = 36.2°, d = 2.483 Å, rel. 50.5, (1 1 3)
2θ = 36.4°, d = 2.469 Å, rel. 29.9, (0 0 4)
2θ = 41.3°, d = 2.187 Å, rel. 23.9, (1 3 3)
2θ = 42.5°, d = 2.127 Å, rel. 24.1, (1 5 1)
2θ = 45.6°, d = 1.991 Å, rel. 65.5, (0 6 2)
2θ = 45.9°, d = 1.976 Å, rel. 28.2, (2 0 0)
2θ = 66.7°, d = 1.402 Å, rel. 28.5, (2 6 2)

Lattice parameters (Å, degrees): 3.9514 13.0503 9.8764 90.00 90.00 90.00
Space group C222_1 (No. 20)
One atom of each set of equivalent atoms:
1 Lu 0.0020 0.0000 0.0000
2 Np 0.0000 0.2523 0.2500
3 Se 0.0000 0.0876 0.7500
4 Se 0.0013 0.3541 0.9358

Entry 3:
Lu4O5: computed powder diffractogram (Cu Kα X-rays), based on the GGA-PBE geometry in OQMD.

The 12 most intense peaks (2θ = 5–70°), in order of rising 2θ:
2θ = 9.8°, d = 9.044 Å, rel. 1.5, (0 0 1)
2θ = 29.6°, d = 3.015 Å, rel. 1.0, (0 0 3)
2θ = 30.6°, d = 2.920 Å, rel. 100.0, (1 0 2)
2θ = 33.1°, d = 2.704 Å, rel. 36.9, (1 1 0)
2θ = 38.0°, d = 2.368 Å, rel. 0.5, (1 0 3)
2θ = 39.9°, d = 2.261 Å, rel. 11.4, (0 0 4)
2θ = 47.5°, d = 1.912 Å, rel. 19.4, (2 0 0)
2θ = 52.8°, d = 1.735 Å, rel. 27.2, (1 1 4)
2θ = 57.6°, d = 1.600 Å, rel. 34.4, (2 1 2)
2θ = 63.7°, d = 1.460 Å, rel. 11.9, (2 0 4)
2θ = 66.7°, d = 1.402 Å, rel. 10.7, (1 0 6)
2θ = 69.5°, d = 1.352 Å, rel. 6.1, (2 2 0)

Lattice parameters (Å, degrees): 3.8246 3.8246 9.0435 90.00 90.00 90.00
Space group P4/mmm (No. 123)
One atom of each set of equivalent atoms:
1 Lu 0.0000 0.0000 0.0000
2 Lu 0.0000 0.0000 0.5000
3 Lu 0.5000 0.5000 0.2425
4 O 0.0000 0.5000 0.1466
5 O 0.5000 0.5000 0.5000